For ErCoAsO, a crystal structure in OQMD, relaxed with PBE+U gives the theoretical PXRD pattern in this record (λ = 1.5418 Å (Cu Kα)).
No peak broadening, texture or thermal motion is included.

The 8 most intense peaks (2θ from 10° to 90°), sorted by position:
two_theta	I/Imax	h k l
25.46	13.3	1 1 1
32.19	24.8	0 2 0
32.64	100.0	2 1 1
34.30	18.1	1 2 0
40.07	18.0	2 2 0
46.16	34.9	0 2 2
57.67	39.3	2 3 1
58.53	28.1	4 2 0

Crystal structure
```
data_ErCoAsO
_chemical_formula_sum 'Er4 Co4 As4 O4'
_cell_length_a 7.6588
_cell_length_b 5.5617
_cell_length_c 5.5629
_cell_angle_alpha 90.00
_cell_angle_beta 90.00
_cell_angle_gamma 90.00
_symmetry_space_group_name_H-M 'A e m 2'
_symmetry_Int_Tables_number 39
loop_
_symmetry_equiv_pos_as_xyz
'x,y,z'
'-x,-y,z'
'-x,y+1/2,z'
'x,-y+1/2,z'
'x,y+1/2,z+1/2'
'-x,-y+1/2,z+1/2'
'-x,y,z+1/2'
'x,-y,z+1/2'
loop_
_atom_site_label
_atom_site_type_symbol
_atom_site_fract_x
_atom_site_fract_y
_atom_site_fract_z
Er1 Er 0.1388 0.2500 0.0000
Co1 Co 0.5000 0.0000 0.2468
As1 As 0.3477 0.2500 0.4971
O1 O 0.0000 0.0000 0.2501
```